(1)
# Hf2Be16Zn
Computed powder diffractogram, copper Kα. Input: a PBE-relaxed structure.
No peak broadening, texture or thermal motion is included.

Principal peaks in the range 2θ = 10–90°, in order of rising 2θ:
- 15.74 deg, intensity 25, hkl 1 0 1
- 23.54 deg, intensity 100, hkl 1 1 0
- 24.19 deg, intensity 21, hkl 0 0 3
- 34.01 deg, intensity 59, hkl 1 1 3
- 35.30 deg, intensity 19, hkl 1 0 4
- 41.38 deg, intensity 29, hkl 3 0 0
- 48.16 deg, intensity 21, hkl 2 2 0
- 48.51 deg, intensity 28, hkl 0 3 3
- 49.49 deg, intensity 19, hkl 0 0 6
- 70.76 deg, intensity 15, hkl 4 1 3

Crystal structure
Lattice parameters (Å, degrees): 7.5581 7.5581 11.0383 90.00 90.00 120.00
Space group R3m (No. 160, hexagonal axes)
Asymmetric unit:
Hf1 0.0000 0.0000 0.0000 x3
Hf2 0.0000 0.0000 0.3187 x3
Be1 0.0000 0.0000 0.7654 x3
Be2 0.9999 0.2931 0.6619 x18
Be3 0.0081 0.5040 0.8182 x9
Be4 0.1677 0.3354 0.8369 x9
Be5 0.1702 0.3404 0.4947 x9
Zn1 0.0000 0.0000 0.5647 x3

(2)
# BaPmGeS4
Computed powder diffractogram, copper Kα. Input: a PBE-relaxed structure.
No peak broadening, texture or thermal motion is included.

Principal peaks in the range 2θ = 10–90°, in order of rising 2θ:
- 18.84 deg, intensity 100, hkl 1 1 0
- 25.61 deg, intensity 46, hkl 1 1 -2
- 25.73 deg, intensity 50, hkl 0 1 2
- 26.32 deg, intensity 90, hkl 0 2 0
- 29.14 deg, intensity 45, hkl 2 0 -2
- 32.08 deg, intensity 95, hkl 2 1 -2
- 32.38 deg, intensity 86, hkl 1 1 2
- 34.60 deg, intensity 33, hkl 0 2 2
- 38.22 deg, intensity 65, hkl 2 2 0
- 42.53 deg, intensity 57, hkl 1 0 -4

Crystal structure
Lattice parameters (Å, degrees): 6.9103 6.7732 8.4970 90.00 108.52 90.00
Space group P2_1/m (No. 11)
Asymmetric unit:
Ba1 0.2368 0.2500 0.4330 x2
Pm1 0.2816 0.2500 0.9447 x2
Ge1 0.2713 0.7500 0.1885 x2
S1 0.0497 0.7500 0.9252 x2
S2 0.0519 0.7500 0.3536 x2
S3 0.4938 0.5112 0.7765 x4

Repeat the second record exactly.
# BaPmGeS4
Computed powder diffractogram, copper Kα. Input: a PBE-relaxed structure.
No peak broadening, texture or thermal motion is included.

Principal peaks in the range 2θ = 10–90°, in order of rising 2θ:
- 18.84 deg, intensity 100, hkl 1 1 0
- 25.61 deg, intensity 46, hkl 1 1 -2
- 25.73 deg, intensity 50, hkl 0 1 2
- 26.32 deg, intensity 90, hkl 0 2 0
- 29.14 deg, intensity 45, hkl 2 0 -2
- 32.08 deg, intensity 95, hkl 2 1 -2
- 32.38 deg, intensity 86, hkl 1 1 2
- 34.60 deg, intensity 33, hkl 0 2 2
- 38.22 deg, intensity 65, hkl 2 2 0
- 42.53 deg, intensity 57, hkl 1 0 -4

Crystal structure
Lattice parameters (Å, degrees): 6.9103 6.7732 8.4970 90.00 108.52 90.00
Space group P2_1/m (No. 11)
Asymmetric unit:
Ba1 0.2368 0.2500 0.4330 x2
Pm1 0.2816 0.2500 0.9447 x2
Ge1 0.2713 0.7500 0.1885 x2
S1 0.0497 0.7500 0.9252 x2
S2 0.0519 0.7500 0.3536 x2
S3 0.4938 0.5112 0.7765 x4